The following is a theoretical XRD peak list of Bi3MoC. It was derived from a cell relaxed with PBE, using Cu Kα (weighted mean of Kα1 and Kα2).

Top 8 peaks for 2θ from 15° to 90°, in order of rising 2θ:
d = 4.926 Å, intensity 7.9, (1 0 0)
d = 2.844 Å, intensity 100.0, (1 1 1)
d = 2.463 Å, intensity 54.0, (2 0 0)
d = 1.742 Å, intensity 38.4, (2 2 0)
d = 1.485 Å, intensity 43.9, (3 1 1)
d = 1.422 Å, intensity 13.3, (2 2 2)
d = 1.130 Å, intensity 19.4, (3 3 1)
d = 1.102 Å, intensity 19.0, (4 2 0)

Structural model:
Unit cell a=4.9261 b=4.9261 c=4.9261 alpha=90.00 beta=90.00 gamma=90.00
Sites, in units of the cell vectors:
Bi: 0.0000 0.0000 0.5000
Bi: 0.0000 0.5000 0.0000
Bi: 0.5000 0.0000 0.0000
Mo: 0.5000 0.5000 0.5000
C: 0.0000 0.0000 0.0000